For Th2Zn3Ag, a cell relaxed with PBE gives the calculated PXRD pattern in this record (CuKα).

Atomic structure:
Lattice parameters (Å, degrees): 3.604 4.708 15.933 90.00 90.00 90.00
Space group Imm2 (No. 44)
One atom of each set of equivalent atoms:
Th 0.000 0.000 0.000 [2 per cell]
Th 0.000 0.500 0.270 [2 per cell]
Zn 0.000 0.000 0.434 [2 per cell]
Zn 0.000 0.500 0.674 [2 per cell]
Zn 0.000 0.500 0.832 [2 per cell]
Ag 0.000 0.000 0.598 [2 per cell]

Largest 10 diffraction maxima, by angle, 2θ = 10–90°:
hkl 0 0 4, 22.32 deg, d 3.983, intensity 14; hkl 1 0 3, 29.97 deg, d 2.982, intensity 27; hkl 1 1 2, 33.27 deg, d 2.693, intensity 100; hkl 0 1 5, 33.97 deg, d 2.639, intensity 40; hkl 1 0 5, 37.68 deg, d 2.387, intensity 17; hkl 0 2 0, 38.23 deg, d 2.354, intensity 27; hkl 1 0 7, 47.23 deg, d 1.924, intensity 15; hkl 1 2 7, 62.32 deg, d 1.490, intensity 15; hkl 2 1 5, 62.41 deg, d 1.488, intensity 14; hkl 1 3 2, 65.98 deg, d 1.416, intensity 14



For TiAg3, a cell relaxed with PBE gives the calculated PXRD pattern in this record (CuKα).

Atomic structure:
Lattice parameters (Å, degrees): 2.916 2.916 16.652 90.00 90.00 90.00
Space group P4/nmm (No. 129, origin choice 2)
One atom of each set of equivalent atoms:
Ti 0.250 0.250 0.056 [2 per cell]
Ag 0.250 0.250 0.311 [2 per cell]
Ag 0.250 0.250 0.563 [2 per cell]
Ag 0.250 0.250 0.817 [2 per cell]

Largest 10 diffraction maxima, by angle, 2θ = 10–90°:
hkl 0 0 2, 10.63 deg, d 8.326, intensity 5; hkl 1 0 3, 34.75 deg, d 2.582, intensity 5; hkl 1 0 4, 37.66 deg, d 2.389, intensity 100; hkl 0 0 8, 43.48 deg, d 2.082, intensity 16; hkl 1 1 0, 43.91 deg, d 2.062, intensity 32; hkl 1 1 8, 63.50 deg, d 1.465, intensity 19; hkl 2 0 0, 63.84 deg, d 1.458, intensity 10; hkl 1 0 12, 75.94 deg, d 1.253, intensity 11; hkl 2 1 4, 76.55 deg, d 1.244, intensity 23; hkl 2 0 8, 80.41 deg, d 1.194, intensity 10



For Ti2Zn4Ag, a cell relaxed with PBE gives the calculated PXRD pattern in this record (CuKα).

Atomic structure:
Lattice parameters (Å, degrees): 9.019 5.258 9.768 90.00 90.00 90.00
Space group Cmce (No. 64)
One atom of each set of equivalent atoms:
Ti 0.173 0.000 0.000 [8 per cell]
Zn 0.000 0.015 0.231 [8 per cell]
Zn 0.250 0.243 0.750 [8 per cell]
Ag 0.000 0.000 0.500 [4 per cell]

Largest 10 diffraction maxima, by angle, 2θ = 10–90°:
hkl 3 1 1, 35.61 deg, d 2.521, intensity 69; hkl 0 0 4, 36.81 deg, d 2.442, intensity 100; hkl 0 2 2, 38.90 deg, d 2.315, intensity 34; hkl 2 2 0, 39.68 deg, d 2.271, intensity 83; hkl 4 0 0, 39.98 deg, d 2.255, intensity 46; hkl 2 2 2, 43.97 deg, d 2.059, intensity 51; hkl 3 1 3, 44.49 deg, d 2.036, intensity 65; hkl 2 2 4, 55.23 deg, d 1.663, intensity 56; hkl 4 0 4, 55.47 deg, d 1.657, intensity 31; hkl 6 2 4, 84.11 deg, d 1.151, intensity 31



For Tl4Ag, a cell relaxed with PBE gives the calculated PXRD pattern in this record (CuKα).

Atomic structure:
Lattice parameters (Å, degrees): 4.320 4.320 16.940 90.00 90.00 90.00
Space group I4/mmm (No. 139)
One atom of each set of equivalent atoms:
Tl 0.000 0.000 0.089 [4 per cell]
Tl 0.000 0.500 0.250 [4 per cell]
Ag 0.000 0.000 0.500 [2 per cell]

Largest 10 diffraction maxima, by angle, 2θ = 10–90°:
hkl 1 0 1, 21.23 deg, d 4.186, intensity 27; hkl 1 1 2, 31.13 deg, d 2.873, intensity 100; hkl 0 0 6, 31.69 deg, d 2.823, intensity 23; hkl 1 0 5, 33.62 deg, d 2.666, intensity 42; hkl 1 1 4, 36.26 deg, d 2.477, intensity 41; hkl 2 0 0, 41.82 deg, d 2.160, intensity 40; hkl 2 0 6, 53.41 deg, d 1.715, intensity 22; hkl 2 1 5, 54.69 deg, d 1.678, intensity 21; hkl 1 1 10, 62.72 deg, d 1.481, intensity 20; hkl 3 1 2, 69.73 deg, d 1.349, intensity 20